For Ca7Si6CO23, the PBE geometry in the Materials Project gives the simulated powder XRD pattern in this record (copper Kα).

Top 10 peaks for 2θ = 10–80°, by intensity:
- 2θ = 29.57°, intensity 1000
- 2θ = 29.28°, intensity 991
- 2θ = 35.66°, intensity 473
- 2θ = 47.57°, intensity 462
- 2θ = 40.00°, intensity 420
- 2θ = 27.55°, intensity 395
- 2θ = 19.48°, intensity 382
- 2θ = 29.90°, intensity 289
- 2θ = 24.86°, intensity 275
- 2θ = 31.89°, intensity 271

Structural model:
```
Ca7Si6CO23
1.0
5.5775 -7.6672 0.0000
5.5775 7.6672 0.0000
-2.8806 0.0000 6.0406
Ca Si C O
7 6 1 23
direct
0.0000 0.0000 0.0000
0.0637 0.3426 0.5378
0.2438 0.7421 0.0197
0.3426 0.0637 0.5378
0.6301 0.9140 0.5048
0.7421 0.2438 0.0197
0.9140 0.6301 0.5048
0.1627 0.3701 0.0904
0.3153 0.6670 0.5214
0.3701 0.1627 0.0904
0.6191 0.8252 0.9553
0.6670 0.3153 0.5214
0.8252 0.6191 0.9553
0.0105 0.0105 0.5424
0.0097 0.2658 0.1355
0.0558 0.9095 0.6053
0.0762 0.0762 0.4182
0.1314 0.4565 0.9150
0.1728 0.6306 0.6191
0.2410 0.2410 0.0040
0.2658 0.0097 0.1355
0.2897 0.5016 0.3332
0.3258 0.3258 0.6461
0.3413 0.8099 0.4223
0.4565 0.1314 0.9150
0.4872 0.7052 0.7080
0.5016 0.2897 0.3332
0.5306 0.8578 0.1286
0.6306 0.1728 0.6191
0.6844 0.6844 0.4199
0.7052 0.4872 0.7080
0.7289 0.9772 0.9130
0.7408 0.7408 0.0419
0.8099 0.3413 0.4223
0.8578 0.5306 0.1286
0.9095 0.0558 0.6053
0.9772 0.7289 0.9130
```